Starting from a cell relaxed with PBE, the powder diffraction line list of SmYMg4 was simulated for Cu Kα.
Kinematic intensities with the Lorentz-polarization factor, no thermal factor.

Main lines, most intense first (2θ = 5–70°):
| d (Å) | Position (°2θ) | I_rel | h k l |
| --- | --- | --- | --- |
| 2.687 | 33.3 | 100.0 | 1 0 2 |
| 4.543 | 19.5 | 79.2 | 0 1 1 |
| 2.623 | 34.2 | 64.7 | 0 2 0 |
| 1.526 | 60.7 | 34.7 | 1 1 5 |
| 1.877 | 48.5 | 34.4 | 1 2 2 |
| 1.406 | 66.5 | 18.0 | 2 2 0 |
| 2.272 | 39.7 | 12.9 | 0 0 4 |
| 1.514 | 61.2 | 11.6 | 0 3 3 |

Structural model:
Lattice parameters (Å, degrees): 3.3322 5.2427 9.0928 90.00 90.00 90.00
Space group P2/m (No. 10)
Asymmetric unit:
Sm 0.0000 0.0000 0.0000 [1 per cell]
Y 0.0000 0.5000 0.5000 [1 per cell]
Mg 0.4975 0.0000 0.3359 [2 per cell]
Mg 0.4976 0.5000 0.8307 [2 per cell]